# 1
The following is a computed powder diffractogram of HfMg14NbO16. It was derived from a structure optimized by DFT (PBE), using Cu Kα X-rays.
Kinematic intensities with the Lorentz-polarization factor, no thermal factor.

Cell and atoms:
Unit cell a=4.3213 b=8.6679 c=8.7347 alpha=90.00 beta=90.00 gamma=90.00
Space group Pmmm (No. 47)
Inequivalent atoms, fractional coordinates:
Hf  0.0000  0.0000  0.0000 (multiplicity 1)
Mg  0.0000  0.0000  0.5000 (multiplicity 1)
Mg  0.0000  0.2577  0.2550 (multiplicity 4)
Mg  0.0000  0.5000  0.5000 (multiplicity 1)
Mg  0.5000  0.0000  0.2597 (multiplicity 2)
Mg  0.5000  0.2516  0.5000 (multiplicity 2)
Mg  0.5000  0.2592  0.0000 (multiplicity 2)
Mg  0.5000  0.5000  0.2545 (multiplicity 2)
Nb  0.0000  0.5000  0.0000 (multiplicity 1)
O  0.0000  0.0000  0.2542 (multiplicity 2)
O  0.0000  0.2380  0.0000 (multiplicity 2)
O  0.0000  0.2463  0.5000 (multiplicity 2)
O  0.0000  0.5000  0.2699 (multiplicity 2)
O  0.5000  0.0000  0.0000 (multiplicity 1)
O  0.5000  0.0000  0.5000 (multiplicity 1)
O  0.5000  0.2487  0.2493 (multiplicity 4)
O  0.5000  0.5000  0.0000 (multiplicity 1)
O  0.5000  0.5000  0.5000 (multiplicity 1)

Most intense lines, 2θ = 5–70°, low angle first:
(0 0 1), 2θ = 10.1°, d 8.728, I = 100.0; (0 2 0), 2θ = 20.5°, d 4.328, I = 43.9; (1 0 1), 2θ = 22.9°, d 3.877, I = 68.1; (0 2 2), 2θ = 29.0°, d 3.074, I = 37.7; (1 2 1), 2θ = 31.0°, d 2.889, I = 39.3; (1 2 2), 2θ = 35.8°, d 2.506, I = 59.7; (0 0 4), 2θ = 41.3°, d 2.184, I = 57.2; (0 4 0), 2θ = 41.7°, d 2.167, I = 56.0; (2 0 0), 2θ = 41.8°, d 2.161, I = 56.1; (2 0 4), 2θ = 60.2°, d 1.537, I = 66.7

# 2
The following is a computed powder diffractogram of HfMg6Ni. It was derived from a structure optimized by DFT (PBE), using Cu Kα X-rays.
Kinematic intensities with the Lorentz-polarization factor, no thermal factor.

Cell and atoms:
Unit cell a=4.8193 b=6.0765 c=11.0789 alpha=90.00 beta=90.00 gamma=90.00
Space group Amm2 (No. 38)
Inequivalent atoms, fractional coordinates:
Hf  0.0000  0.0000  0.0000 (multiplicity 2)
Mg  0.0000  0.0000  0.4748 (multiplicity 2)
Mg  0.0000  0.2445  0.2342 (multiplicity 4)
Mg  0.5000  0.0000  0.6336 (multiplicity 2)
Mg  0.5000  0.2442  0.8881 (multiplicity 4)
Ni  0.5000  0.0000  0.1122 (multiplicity 2)

Most intense lines, 2θ = 5–70°, low angle first:
(0 0 2), 2θ = 16.0°, d 5.539, I = 45.9; (0 1 1), 2θ = 16.6°, d 5.328, I = 100.0; (1 0 2), 2θ = 24.5°, d 3.636, I = 22.3; (1 1 1), 2θ = 24.9°, d 3.574, I = 30.6; (0 2 2), 2θ = 33.6°, d 2.664, I = 40.8; (1 1 3), 2θ = 34.0°, d 2.640, I = 29.1; (2 0 0), 2θ = 37.3°, d 2.410, I = 31.0; (1 0 4), 2θ = 37.5°, d 2.401, I = 57.1; (1 2 2), 2θ = 38.6°, d 2.331, I = 63.7; (2 2 2), 2θ = 51.1°, d 1.787, I = 24.6

# 3
The following is a computed powder diffractogram of HfMg6Ni. It was derived from a structure optimized by DFT (PBE), using Cu Kα X-rays.
Kinematic intensities with the Lorentz-polarization factor, no thermal factor.

Cell and atoms:
Unit cell a=4.8918 b=5.9314 c=10.9385 alpha=90.00 beta=90.00 gamma=90.00
Space group Amm2 (No. 38)
Inequivalent atoms, fractional coordinates:
Hf  0.0000  0.0000  0.0000 (multiplicity 2)
Mg  0.0000  0.2459  0.2476 (multiplicity 4)
Mg  0.5000  0.0000  0.1585 (multiplicity 2)
Mg  0.5000  0.0000  0.6500 (multiplicity 2)
Mg  0.5000  0.2411  0.4155 (multiplicity 4)
Ni  0.0000  0.0000  0.4926 (multiplicity 2)

Most intense lines, 2θ = 5–70°, low angle first:
(0 0 2), 2θ = 16.2°, d 5.469, I = 68.9; (0 1 1), 2θ = 17.0°, d 5.214, I = 35.9; (1 0 0), 2θ = 18.1°, d 4.892, I = 50.0; (1 0 2), 2θ = 24.4°, d 3.646, I = 46.4; (1 1 1), 2θ = 25.0°, d 3.568, I = 33.8; (0 2 2), 2θ = 34.4°, d 2.607, I = 40.3; (2 0 0), 2θ = 36.7°, d 2.446, I = 38.1; (1 0 4), 2θ = 37.7°, d 2.387, I = 59.5; (1 2 2), 2θ = 39.2°, d 2.301, I = 100.0; (2 2 2), 2θ = 51.2°, d 1.784, I = 25.8

# 4
The following is a computed powder diffractogram of HfMgO3. It was derived from a structure optimized by DFT (PBE), using Cu Kα X-rays.
Kinematic intensities with the Lorentz-polarization factor, no thermal factor.

Cell and atoms:
Unit cell a=4.0725 b=4.0725 c=4.0725 alpha=90.00 beta=90.00 gamma=90.00
Space group Pm-3m (No. 221)
Inequivalent atoms, fractional coordinates:
Hf  0.0000  0.0000  0.0000 (multiplicity 1)
Mg  0.5000  0.5000  0.5000 (multiplicity 1)
O  0.0000  0.0000  0.5000 (multiplicity 3)

Most intense lines, 2θ = 5–70°, low angle first:
(1 0 0), 2θ = 21.8°, d 4.072, I = 99.0; (1 1 0), 2θ = 31.1°, d 2.880, I = 100.0; (1 1 1), 2θ = 38.3°, d 2.351, I = 11.5; (2 0 0), 2θ = 44.5°, d 2.036, I = 33.7; (2 1 0), 2θ = 50.1°, d 1.821, I = 42.8; (2 1 1), 2θ = 55.3°, d 1.663, I = 41.1; (2 2 0), 2θ = 64.7°, d 1.440, I = 20.7; (3 0 0), 2θ = 69.2°, d 1.357, I = 20.1

What is the formula in the second record? HfMg6Ni